Simulated XRD peak list
Compound: LiSc3Ga7
Radiation: λ = 1.5418 Å (Cu Kα)
Structure: DFT lattice parameters and positions (GGA-PBE)
Lines closer than 0.1° are merged.

Structural model:
```
data_LiSc3Ga7
_cell_length_a 3.303
_cell_length_b 19.207
_cell_length_c 12.900
_cell_angle_alpha 90.00
_cell_angle_beta 90.00
_cell_angle_gamma 90.00
_space_group_name_H-M_alt 'C m c m'
_space_group_IT_number 63
_space_group_name_Hall '-C 2c 2'
loop_
_atom_site_label
_atom_site_fract_x
_atom_site_fract_y
_atom_site_fract_z
_atom_site_occupancy
Li1 0.000 0.033 0.250 1
Sc1 0.000 0.113 0.538 1
Sc2 0.000 0.249 0.250 1
Ga1 0.000 0.257 0.572 1
Ga2 0.000 0.372 0.653 1
Ga3 0.000 0.401 0.250 1
Ga4 0.000 0.498 0.597 1
```

Peak list (10 most intense, 15 to 90 degrees two-theta, by intensity)
2θ/deg	d (Å)	Rel. int.
34.56	2.596	1000
37.46	2.401	713
27.40	3.256	592
38.56	2.335	519
48.02	1.895	408
36.05	2.492	402
46.26	1.962	358
33.53	2.673	304
55.65	1.652	286
39.32	2.291	237